Record 1
Diffraction record for H4PbBr3N. The X-ray diffraction stick pattern is calculated, not measured: it uses a GGA-PBE-relaxed structure and λ = 1.5418 Å (Cu Kα).
Neutral-atom scattering factors, no anomalous dispersion.

Cell: 9.9492 4.6298 17.4933 Å, 90.00 90.00 90.00°
Atoms (fractional coordinates):
H: 0.0245 0.2500 0.1493
H: 0.0584 0.2500 0.2441
H: 0.0780 0.5693 0.7868
H: 0.0780 0.9307 0.7868
H: 0.4220 0.0693 0.2868
H: 0.4220 0.4307 0.2868
H: 0.4416 0.7500 0.7441
H: 0.4755 0.7500 0.6493
H: 0.5245 0.2500 0.3507
H: 0.5584 0.2500 0.2559
H: 0.5780 0.5693 0.7132
H: 0.5780 0.9307 0.7132
H: 0.9220 0.0693 0.2132
H: 0.9220 0.4307 0.2132
H: 0.9416 0.7500 0.7559
H: 0.9755 0.7500 0.8507
Pb: 0.1589 0.2500 0.5705
Pb: 0.3411 0.7500 0.0705
Pb: 0.6589 0.2500 0.9295
Pb: 0.8411 0.7500 0.4295
Br: 0.0491 0.2500 0.4012
Br: 0.1519 0.2500 0.0361
Br: 0.2378 0.2500 0.7356
Br: 0.2622 0.7500 0.2356
Br: 0.3481 0.7500 0.5361
Br: 0.4509 0.7500 0.9012
Br: 0.5491 0.2500 0.0988
Br: 0.6519 0.2500 0.4639
Br: 0.7378 0.2500 0.7644
Br: 0.7622 0.7500 0.2644
Br: 0.8481 0.7500 0.9639
Br: 0.9509 0.7500 0.5988
N: 0.0176 0.7500 0.7960
N: 0.4824 0.2500 0.2960
N: 0.5176 0.7500 0.7040
N: 0.9824 0.2500 0.2040

Main lines, by angle (2θ = 15–90°):
two_theta, I_rel
21.77, 41
22.20, 46
26.30, 100
26.79, 52
28.24, 60
32.02, 38
34.82, 51
37.58, 37
39.26, 59
50.37, 38


Record 2
Diffraction record for SrP3. The X-ray diffraction stick pattern is calculated, not measured: it uses a GGA-PBE-relaxed structure and λ = 1.5418 Å (Cu Kα).
Neutral-atom scattering factors, no anomalous dispersion.

Cell: 5.7444 5.8997 5.9032 Å, 77.03 71.83 71.98°
Atoms (fractional coordinates):
Sr: 0.1475 0.1635 0.1626
Sr: 0.8525 0.8365 0.8374
P: 0.3089 0.4887 0.4889
P: 0.3205 0.1047 0.6145
P: 0.3213 0.6152 0.1050
P: 0.6787 0.3848 0.8950
P: 0.6795 0.8953 0.3855
P: 0.6911 0.5113 0.5111

Main lines, by angle (2θ = 15–90°):
two_theta, I_rel
26.16, 72
29.63, 25
32.09, 36
32.30, 100
33.63, 15
34.00, 66
49.23, 16
49.61, 20
58.66, 17
58.95, 15


Record 3
Diffraction record for Ac3Pr2Cd3. The X-ray diffraction stick pattern is calculated, not measured: it uses a GGA-PBE-relaxed structure and λ = 1.5418 Å (Cu Kα).
Neutral-atom scattering factors, no anomalous dispersion.

Cell: 4.0114 5.8113 23.6836 Å, 90.00 90.00 90.00°
Atoms (fractional coordinates):
Ac: 0.0000 0.0000 0.0000
Ac: 0.0000 0.5000 0.1227
Ac: 0.0000 0.5000 0.8773
Ac: 0.5000 0.0000 0.3773
Ac: 0.5000 0.0000 0.6227
Ac: 0.5000 0.5000 0.5000
Pr: 0.0000 0.0000 0.2349
Pr: 0.0000 0.0000 0.7651
Pr: 0.5000 0.5000 0.2651
Pr: 0.5000 0.5000 0.7349
Cd: 0.0000 0.0000 0.5000
Cd: 0.0000 0.5000 0.3766
Cd: 0.0000 0.5000 0.6234
Cd: 0.5000 0.0000 0.1234
Cd: 0.5000 0.0000 0.8766
Cd: 0.5000 0.5000 0.0000

Main lines, by angle (2θ = 15–90°):
two_theta, I_rel
30.19, 24
30.77, 26
31.02, 100
43.65, 18
45.21, 9
54.14, 16
54.87, 20
55.33, 9
55.69, 10
64.65, 11


Record 4
Diffraction record for BaCeSb2Pt2. The X-ray diffraction stick pattern is calculated, not measured: it uses a GGA-PBE-relaxed structure and λ = 1.5418 Å (Cu Kα).
Neutral-atom scattering factors, no anomalous dispersion.

Cell: 4.5935 4.5935 8.9184 Å, 90.00 90.00 120.00°
Atoms (fractional coordinates):
Ba: 0.0000 0.0000 0.0000
Ce: 0.0000 0.0000 0.5000
Sb: 0.3333 0.6667 0.7353
Sb: 0.6667 0.3333 0.2647
Pt: 0.3333 0.6667 0.3065
Pt: 0.6667 0.3333 0.6935

Main lines, by angle (2θ = 15–90°):
two_theta, I_rel
19.91, 9
24.50, 7
30.10, 100
39.22, 57
46.72, 8
50.21, 33
57.62, 14
65.52, 20
66.36, 7
71.09, 10